Computed powder XRD pattern of Li2Zn5Cu2 for Cu Kα (weighted mean of Kα1 and Kα2), from a structure optimized by DFT (PBE).
Peak positions follow from Bragg's law for the DFT cell and can differ from measured ones.

Top 10 peaks for 5 to 70 degrees two-theta, sorted by position:
13.5 deg, I 80.7; 20.0 deg, I 91.9; 21.9 deg, I 46.9; 40.7 deg, I 81.1; 41.4 deg, I 94.6; 42.3 deg, I 89.0; 43.0 deg, I 92.7; 43.8 deg, I 100.0; 50.6 deg, I 49.1; 51.5 deg, I 35.8

Atomic structure:
Unit cell a=4.4745 b=4.5983 c=6.8414 alpha=76.84 beta=77.87 gamma=79.27
Positions (direct):
Li (0.1937, 0.0215, 0.3333)
Li (0.8063, 0.9785, 0.6667)
Zn (0.0000, 0.5000, 0.0000)
Zn (0.2256, 0.4263, 0.5880)
Zn (0.2828, 0.9789, 0.8947)
Zn (0.7172, 0.0211, 0.1053)
Zn (0.7744, 0.5737, 0.4120)
Cu (0.4155, 0.5380, 0.1885)
Cu (0.5845, 0.4620, 0.8115)

Computed powder XRD pattern of LiZn4Cu5 for Cu Kα (weighted mean of Kα1 and Kα2), from a structure optimized by DFT (PBE).
Peak positions follow from Bragg's law for the DFT cell and can differ from measured ones.

Top 10 peaks for 5 to 70 degrees two-theta, sorted by position:
14.2 deg, I 7.2; 18.5 deg, I 4.7; 42.3 deg, I 51.5; 42.8 deg, I 100.0; 43.0 deg, I 49.1; 44.4 deg, I 44.7; 44.9 deg, I 43.2; 59.0 deg, I 18.1; 64.5 deg, I 13.7; 65.6 deg, I 12.9

Atomic structure:
Unit cell a=4.0784 b=5.0847 c=6.8948 alpha=71.08 beta=73.22 gamma=89.43
Positions (direct):
Li (0.0000, 0.0000, 0.0000)
Zn (0.2001, 0.3049, 0.5999)
Zn (0.4002, 0.1036, 0.2008)
Zn (0.5998, 0.8964, 0.7992)
Zn (0.7999, 0.6951, 0.4001)
Cu (0.0000, 0.5000, 0.0000)
Cu (0.1973, 0.8007, 0.6023)
Cu (0.4050, 0.6023, 0.1945)
Cu (0.5950, 0.3977, 0.8055)
Cu (0.8027, 0.1993, 0.3977)

Computed powder XRD pattern of Li2Zn5Cu5 for Cu Kα (weighted mean of Kα1 and Kα2), from a structure optimized by DFT (PBE).
Peak positions follow from Bragg's law for the DFT cell and can differ from measured ones.

Top 10 peaks for 5 to 70 degrees two-theta, sorted by position:
16.5 deg, I 5.5; 23.7 deg, I 3.9; 25.3 deg, I 4.1; 25.5 deg, I 2.7; 32.0 deg, I 3.7; 34.0 deg, I 3.0; 41.8 deg, I 100.0; 48.3 deg, I 17.1; 48.4 deg, I 16.0; 49.4 deg, I 15.0

Atomic structure:
Unit cell a=5.8503 b=5.8503 c=8.3886 alpha=114.81 beta=114.81 gamma=37.57
Positions (direct):
Li (0.0833, 0.0833, 0.2531)
Li (0.9167, 0.9167, 0.7469)
Zn (0.0000, 0.0000, 0.5000)
Zn (0.1602, 0.1602, 0.9972)
Zn (0.2512, 0.2512, 0.7421)
Zn (0.7488, 0.7488, 0.2579)
Zn (0.8398, 0.8398, 0.0028)
Cu (0.3363, 0.3363, 0.5032)
Cu (0.4133, 0.4133, 0.2492)
Cu (0.5000, 0.5000, 0.0000)
Cu (0.5867, 0.5867, 0.7508)
Cu (0.6637, 0.6637, 0.4968)

Computed powder XRD pattern of LiZn6Cu4 for Cu Kα (weighted mean of Kα1 and Kα2), from a structure optimized by DFT (PBE).
Peak positions follow from Bragg's law for the DFT cell and can differ from measured ones.

Top 10 peaks for 5 to 70 degrees two-theta, sorted by position:
17.1 deg, I 100.0; 28.3 deg, I 23.2; 34.6 deg, I 49.1; 40.5 deg, I 31.8; 43.7 deg, I 86.4; 44.3 deg, I 38.4; 44.5 deg, I 70.3; 45.5 deg, I 48.4; 57.8 deg, I 23.7; 68.7 deg, I 25.5

Atomic structure:
Unit cell a=6.3881 b=6.3881 c=6.3881 alpha=120.93 beta=120.93 gamma=88.39
Positions (direct):
Li (0.0000, 0.0000, 0.0000)
Zn (0.0000, 0.5000, 0.5000)
Zn (0.1025, 0.1025, 0.6182)
Zn (0.4842, 0.4842, 0.3818)
Zn (0.5000, 0.0000, 0.5000)
Zn (0.5158, 0.8975, 0.0000)
Zn (0.8975, 0.5158, 0.0000)
Cu (0.2624, 0.5879, 0.0000)
Cu (0.4121, 0.4121, 0.6745)
Cu (0.5879, 0.2624, 0.0000)
Cu (0.7376, 0.7376, 0.3255)

Computed powder XRD pattern of LiZnCu3 for Cu Kα (weighted mean of Kα1 and Kα2), from a structure optimized by DFT (PBE).
Peak positions follow from Bragg's law for the DFT cell and can differ from measured ones.

Top 10 peaks for 5 to 70 degrees two-theta, sorted by position:
14.7 deg, I 76.6; 22.2 deg, I 21.0; 29.6 deg, I 29.7; 38.8 deg, I 30.0; 42.5 deg, I 68.5; 42.7 deg, I 61.6; 43.1 deg, I 100.0; 47.1 deg, I 24.3; 47.8 deg, I 96.6; 65.4 deg, I 16.8

Atomic structure:
Unit cell a=6.4029 b=6.4029 c=5.0229 alpha=90.00 beta=90.00 gamma=141.33
Positions (direct):
Li (0.0036, 0.9964, 0.7500)
Li (0.9964, 0.0036, 0.2500)
Zn (0.3845, 0.6155, 0.7500)
Zn (0.6155, 0.3845, 0.2500)
Cu (0.1915, 0.8085, 0.0001)
Cu (0.1915, 0.8085, 0.4999)
Cu (0.3817, 0.6183, 0.2500)
Cu (0.6183, 0.3817, 0.7500)
Cu (0.8085, 0.1915, 0.9999)
Cu (0.8085, 0.1915, 0.5001)

Computed powder XRD pattern of LiZn2Cu2 for Cu Kα (weighted mean of Kα1 and Kα2), from a structure optimized by DFT (PBE).
Peak positions follow from Bragg's law for the DFT cell and can differ from measured ones.

Top 10 peaks for 5 to 70 degrees two-theta, sorted by position:
22.7 deg, I 9.0; 24.6 deg, I 10.4; 27.9 deg, I 7.6; 31.6 deg, I 9.9; 42.7 deg, I 100.0; 44.3 deg, I 22.3; 44.7 deg, I 21.7; 51.7 deg, I 4.2; 58.9 deg, I 9.0; 64.8 deg, I 13.3

Atomic structure:
Unit cell a=8.0920 b=8.0920 c=4.0866 alpha=90.00 beta=90.00 gamma=151.00
Positions (direct):
Li (0.1498, 0.8502, 0.7500)
Li (0.8502, 0.1498, 0.2500)
Zn (0.0515, 0.9485, 0.2500)
Zn (0.2522, 0.7478, 0.2500)
Zn (0.7478, 0.2522, 0.7500)
Zn (0.9485, 0.0515, 0.7500)
Cu (0.3512, 0.6488, 0.7500)
Cu (0.4508, 0.5492, 0.2500)
Cu (0.5492, 0.4508, 0.7500)
Cu (0.6488, 0.3512, 0.2500)

Computed powder XRD pattern of LiZrCu3 for Cu Kα (weighted mean of Kα1 and Kα2), from a structure optimized by DFT (PBE).
Peak positions follow from Bragg's law for the DFT cell and can differ from measured ones.

Top 7 peaks for 5 to 70 degrees two-theta, sorted by position:
21.3 deg, I 1.4; 30.2 deg, I 2.5; 37.3 deg, I 100.0; 43.3 deg, I 51.8; 48.7 deg, I 0.6; 53.7 deg, I 1.0; 62.9 deg, I 31.8

Atomic structure:
Unit cell a=4.1803 b=4.1803 c=4.1803 alpha=90.00 beta=90.00 gamma=90.00
Positions (direct):
Li (0.0000, 0.0000, 0.0000)
Zr (0.5000, 0.5000, 0.5000)
Cu (0.0000, 0.0000, 0.5000)
Cu (0.0000, 0.5000, 0.0000)
Cu (0.5000, 0.0000, 0.0000)

Computed powder XRD pattern of LuCu2O4 for Cu Kα (weighted mean of Kα1 and Kα2), from a structure optimized by DFT (PBE).
Peak positions follow from Bragg's law for the DFT cell and can differ from measured ones.

Top 10 peaks for 5 to 70 degrees two-theta, sorted by position:
18.4 deg, I 20.3; 29.3 deg, I 63.0; 32.3 deg, I 53.0; 37.1 deg, I 100.0; 37.2 deg, I 20.7; 50.5 deg, I 23.0; 55.3 deg, I 29.2; 57.2 deg, I 17.4; 60.3 deg, I 21.4; 60.7 deg, I 28.8

Atomic structure:
Unit cell a=6.2055 b=6.2055 c=6.2055 alpha=126.31 beta=126.31 gamma=79.37
Positions (direct):
Lu (0.3750, 0.1250, 0.2500)
Lu (0.6250, 0.8750, 0.7500)
Cu (0.0000, 0.0000, 0.5000)
Cu (0.0000, 0.5000, 0.0000)
Cu (0.0000, 0.5000, 0.5000)
Cu (0.5000, 0.5000, 0.0000)
O (0.0278, 0.7268, 0.8981)
O (0.2268, 0.8287, 0.6990)
O (0.3287, 0.1297, 0.6019)
O (0.3703, 0.4722, 0.1990)
O (0.6297, 0.5278, 0.8010)
O (0.6713, 0.8703, 0.3981)
O (0.7732, 0.1713, 0.3010)
O (0.9722, 0.2732, 0.1019)

Which formula does entry 3 have?
Li2Zn5Cu5